SrCuTeF: theoretical powder XRD pattern (CuKα), based on the GGA-PBE geometry in the Materials Project.
Neutral-atom scattering factors, no anomalous dispersion.

Top 10 peaks for 2θ from 10° to 80°, by angle:
2θ 28.5, I 1000, (1 0 2); 2θ 29.5, I 195, (1 1 0); 2θ 35.5, I 549, (1 1 2); 2θ 42.3, I 441, (2 0 0); 2θ 44.7, I 224, (1 0 4); 2θ 49.7, I 249, (1 1 4); 2θ 51.7, I 373, (2 1 2); 2θ 61.3, I 140, (2 2 0); 2θ 63.2, I 158, (2 1 4); 2θ 76.3, I 119, (2 0 6)

Cell lengths 4.2764, 4.2764, 9.2216 Å; angles 90.00, 90.00, 90.00 degrees
Space group P4/nmm (No. 129, origin choice 2)
Symmetry-distinct sites (fractional):
Sr1 0.2500 0.2500 0.1475
Cu1 0.2500 0.7500 0.5000
Te1 0.2500 0.2500 0.6737
F1 0.2500 0.7500 0.0000